K4EuP2S8: simulated powder X-ray diffraction pattern (Cu Kα X-rays), based on a structure optimized by DFT (GGA-PBE).

Cell: 8.911 18.424 9.832 Å, 90.00 90.00 90.00°
Space group Ibam (No. 72)
Unique sites:
K (0.000, 0.244, 0.250) (multiplicity 8)
K (0.120, 0.418, 0.000) (multiplicity 8)
Eu (0.000, 0.000, 0.250) (multiplicity 4)
P (0.206, 0.128, 0.000) (multiplicity 8)
S (0.024, 0.106, 0.500) (multiplicity 8)
S (0.202, 0.419, 0.332) (multiplicity 16)
S (0.245, 0.238, 0.000) (multiplicity 8)

The 6 most intense peaks (2θ = 15–90°), by angle:
- d 4.192, rel. 43, (1 1 2)
- d 3.525, rel. 65, (1 3 2)
- d 3.361, rel. 77, (0 4 2)
- d 2.932, rel. 57, (3 1 0)
- d 2.799, rel. 46, (1 5 2)
- d 2.683, rel. 100, (2 4 2)

---

EuAlAu: simulated powder X-ray diffraction pattern (Cu Kα X-rays), based on a structure optimized by DFT (GGA-PBE).

Cell: 7.539 4.719 7.962 Å, 90.00 90.00 90.00°
Space group Pnma (No. 62)
Unique sites:
Eu (0.015, 0.250, 0.187) (multiplicity 4)
Al (0.160, 0.250, 0.571) (multiplicity 4)
Au (0.205, 0.750, 0.393) (multiplicity 4)

The 6 most intense peaks (2θ = 15–90°), by angle:
- d 3.574, rel. 55, (1 1 1)
- d 3.520, rel. 37, (1 0 2)
- d 2.822, rel. 52, (1 1 2)
- d 2.762, rel. 100, (2 1 1)
- d 2.359, rel. 38, (0 2 0)
- d 2.313, rel. 34, (0 1 3)

---

K2CuS2O10: simulated powder X-ray diffraction pattern (Cu Kα X-rays), based on a structure optimized by DFT (GGA-PBE).

Cell: 12.635 9.896 8.010 Å, 90.00 92.65 90.00°
Space group P2_1/c (No. 14)
Unique sites:
K (0.111, 0.234, 0.468) (multiplicity 4)
K (0.387, 0.056, 0.778) (multiplicity 4)
Cu (0.241, 0.679, 0.855) (multiplicity 4)
S (0.107, 0.581, 0.241) (multiplicity 4)
S (0.357, 0.083, 0.264) (multiplicity 4)
O (0.013, 0.617, 0.328) (multiplicity 4)
O (0.103, 0.639, 0.069) (multiplicity 4)
O (0.128, 0.065, 0.739) (multiplicity 4)
O (0.152, 0.631, 0.691) (multiplicity 4)
O (0.211, 0.635, 0.334) (multiplicity 4)
O (0.272, 0.175, 0.202) (multiplicity 4)
O (0.301, 0.505, 0.902) (multiplicity 4)
O (0.335, 0.719, 0.016) (multiplicity 4)
O (0.398, 0.507, 0.636) (multiplicity 4)
O (0.443, 0.154, 0.358) (multiplicity 4)

The 6 most intense peaks (2θ = 15–90°), by angle:
- d 4.353, rel. 45, (2 1 1)
- d 4.001, rel. 38, (0 0 2)
- d 3.871, rel. 48, (3 1 0)
- d 3.259, rel. 100, (2 1 -2)
- d 2.923, rel. 55, (2 3 0)
- d 2.178, rel. 38, (4 2 2)

---

Pr2CdSe4: simulated powder X-ray diffraction pattern (Cu Kα X-rays), based on a structure optimized by DFT (GGA-PBE).

Cell: 8.866 8.866 9.328 Å, 90.00 90.00 90.00°
Space group I-42d (No. 122)
Unique sites:
Pr (0.134, 0.250, 0.125) (multiplicity 8)
Cd (0.000, 0.000, 0.500) (multiplicity 4)
Se (0.070, 0.194, 0.810) (multiplicity 16)

The 6 most intense peaks (2θ = 15–90°), by angle:
- d 2.934, rel. 93, (1 0 3)
- d 2.817, rel. 88, (3 0 1)
- d 2.804, rel. 100, (3 1 0)
- d 2.447, rel. 67, (2 1 3)
- d 2.403, rel. 47, (3 1 2)
- d 2.378, rel. 42, (3 2 1)